Record 1
This entry pairs a crystal structure of Li2LaI5 with its simulated X-ray diffraction stick pattern. Radiation: Cu Kα (λ = 1.5418 Å). Structure: a DFT-relaxed cell (GGA-PBE, Alexandria).
Neutral-atom scattering factors, no anomalous dispersion.

```
data_Li2LaI5
_symmetry_space_group_name_H-M 'C 1 c 1'
_symmetry_Int_Tables_number 9
_symmetry_space_group_name_Hall 'C -2yc'
_cell_length_a 14.9564
_cell_length_b 7.9398
_cell_length_c 11.5872
_cell_angle_alpha 90.00
_cell_angle_beta 114.19
_cell_angle_gamma 90.00
loop_
_atom_site_label
_atom_site_type_symbol
_atom_site_fract_x
_atom_site_fract_y
_atom_site_fract_z
Li1 Li 0.0000 0.0357 0.0000
Li2 Li 0.2379 0.0362 0.8455
La1 La 0.1186 0.4999 0.1729
I1 I 0.0325 0.1573 0.7270
I2 I 0.1185 0.3220 0.4229
I3 I 0.2051 0.1573 0.1187
I4 I 0.3272 0.3452 0.8297
I5 I 0.4102 0.1554 0.5157
```

Largest 6 diffraction maxima, by angle, 10° ≤ 2θ ≤ 80°:
2θ 24.59, intensity 395; 2θ 25.59, intensity 1000; 2θ 25.94, intensity 902; 2θ 26.78, intensity 768; 2θ 33.46, intensity 621; 2θ 39.84, intensity 569

Record 2
This entry pairs a crystal structure of LiLaI4 with its simulated X-ray diffraction stick pattern. Radiation: Cu Kα (λ = 1.5418 Å). Structure: a DFT-relaxed cell (GGA-PBE, Alexandria).
Neutral-atom scattering factors, no anomalous dispersion.

```
data_LiLaI4
_symmetry_space_group_name_H-M 'C 1 2/m 1'
_symmetry_Int_Tables_number 12
_symmetry_space_group_name_Hall '-C 2y'
_cell_length_a 16.3995
_cell_length_b 4.5894
_cell_length_c 7.6849
_cell_angle_alpha 90.00
_cell_angle_beta 108.60
_cell_angle_gamma 90.00
loop_
_atom_site_label
_atom_site_type_symbol
_atom_site_fract_x
_atom_site_fract_y
_atom_site_fract_z
Li1 Li 0.0000 0.0000 0.0000
La1 La 0.0000 0.5000 0.5000
I1 I 0.1067 0.5000 0.9168
I2 I 0.1183 0.0000 0.4118
```

Largest 6 diffraction maxima, by angle, 10° ≤ 2θ ≤ 80°:
2θ 11.39, intensity 494; 2θ 24.56, intensity 434; 2θ 26.24, intensity 1000; 2θ 30.24, intensity 385; 2θ 40.12, intensity 374; 2θ 40.75, intensity 483

Record 3
This entry pairs a crystal structure of LaMnSe2I with its simulated X-ray diffraction stick pattern. Radiation: Cu Kα (λ = 1.5418 Å). Structure: a DFT-relaxed cell (GGA-PBE, Alexandria).
Neutral-atom scattering factors, no anomalous dispersion.

```
data_LaMnSe2I
_symmetry_space_group_name_H-M 'P 1 21/m 1'
_symmetry_Int_Tables_number 11
_symmetry_space_group_name_Hall '-P 2yb'
_cell_length_a 7.8564
_cell_length_b 4.0931
_cell_length_c 9.0285
_cell_angle_alpha 90.00
_cell_angle_beta 101.26
_cell_angle_gamma 90.00
loop_
_atom_site_label
_atom_site_type_symbol
_atom_site_fract_x
_atom_site_fract_y
_atom_site_fract_z
La1 La 0.1708 0.2500 0.2261
Mn1 Mn 0.3390 0.7500 0.8630
Se1 Se 0.1130 0.2500 0.8719
Se2 Se 0.4320 0.7500 0.1564
I1 I 0.2406 0.7500 0.5172
```

Largest 6 diffraction maxima, by angle, 10° ≤ 2θ ≤ 80°:
2θ 27.50, intensity 643; 2θ 30.27, intensity 1000; 2θ 30.46, intensity 536; 2θ 31.90, intensity 876; 2θ 32.07, intensity 992; 2θ 44.26, intensity 473

What is the formula in the second record? LiLaI4

Please write out number 1 again, unchanged.
This entry pairs a crystal structure of Li2LaI5 with its simulated X-ray diffraction stick pattern. Radiation: Cu Kα (λ = 1.5418 Å). Structure: a DFT-relaxed cell (GGA-PBE, Alexandria).
Neutral-atom scattering factors, no anomalous dispersion.

```
data_Li2LaI5
_symmetry_space_group_name_H-M 'C 1 c 1'
_symmetry_Int_Tables_number 9
_symmetry_space_group_name_Hall 'C -2yc'
_cell_length_a 14.9564
_cell_length_b 7.9398
_cell_length_c 11.5872
_cell_angle_alpha 90.00
_cell_angle_beta 114.19
_cell_angle_gamma 90.00
loop_
_atom_site_label
_atom_site_type_symbol
_atom_site_fract_x
_atom_site_fract_y
_atom_site_fract_z
Li1 Li 0.0000 0.0357 0.0000
Li2 Li 0.2379 0.0362 0.8455
La1 La 0.1186 0.4999 0.1729
I1 I 0.0325 0.1573 0.7270
I2 I 0.1185 0.3220 0.4229
I3 I 0.2051 0.1573 0.1187
I4 I 0.3272 0.3452 0.8297
I5 I 0.4102 0.1554 0.5157
```

Largest 6 diffraction maxima, by angle, 10° ≤ 2θ ≤ 80°:
2θ 24.59, intensity 395; 2θ 25.59, intensity 1000; 2θ 25.94, intensity 902; 2θ 26.78, intensity 768; 2θ 33.46, intensity 621; 2θ 39.84, intensity 569